Record 1
This entry pairs a crystal structure of La3Er4Mg with its computed XRD peak list. Radiation: Cu Ka. Structure: a cell relaxed with PBE.
Neutral-atom scattering factors, no anomalous dispersion.

Peak list (10 most intense, 2θ from 5° to 70°, by angle)
2θ 29.8, I 40, (1 1 2); 2θ 30.2, I 68, (1 2 1); 2θ 30.4, I 61, (0 4 0); 2θ 32.1, I 100, (0 2 4); 2θ 32.9, I 28, (1 0 3); 2θ 36.4, I 31, (1 2 3); 2θ 37.0, I 23, (1 3 2); 2θ 45.4, I 22, (1 4 3); 2θ 55.1, I 23, (0 6 4); 2θ 61.9, I 30, (2 2 4)

Cell and atoms:
a = 3.551 Å, b = 11.752 Å, c = 12.686 Å
α = 90.00°, β = 90.00°, γ = 90.00°
Space group Immm (No. 71)
One atom of each set of equivalent atoms:
La: 0.000 0.000 0.000 x2
La: 0.000 0.500 0.236 x4
Er: 0.000 0.244 0.366 x8
Mg: 0.000 0.000 0.500 x2



Record 2
This entry pairs a crystal structure of LaErMg17 with its computed XRD peak list. Radiation: Cu Ka. Structure: a cell relaxed with PBE.
Neutral-atom scattering factors, no anomalous dispersion.

Peak list (10 most intense, 2θ from 5° to 70°, by angle)
2θ 15.3, I 17, (0 1 2); 2θ 17.3, I 29, (1 1 0); 2θ 24.6, I 53, (1 1 3); 2θ 30.1, I 33, (3 0 0); 2θ 30.9, I 18, (0 2 4); 2θ 35.0, I 100, (2 2 0); 2θ 35.3, I 16, (0 0 6); 2θ 35.7, I 21, (2 0 5); 2θ 50.3, I 17, (4 1 3); 2θ 63.2, I 19, (0 3 9)

Cell and atoms:
a = 10.2701 Å, b = 10.2701 Å, c = 15.2571 Å
α = 90.00°, β = 90.00°, γ = 120.00°
Space group R3m (No. 160, hexagonal axes)
One atom of each set of equivalent atoms:
La: 0.0000 0.0000 0.0000 x3
Er: 0.0000 0.0000 0.3405 x3
Mg: 0.0000 0.0000 0.5681 x3
Mg: 0.0000 0.0000 0.7658 x3
Mg: 0.0005 0.5002 0.8192 x9
Mg: 0.0320 0.3630 0.3352 x18
Mg: 0.1689 0.3379 0.5031 x9
Mg: 0.1746 0.3492 0.8495 x9



Record 3
This entry pairs a crystal structure of La2Nd6Er3Mg with its computed XRD peak list. Radiation: Cu Ka. Structure: a cell relaxed with PBE.
Neutral-atom scattering factors, no anomalous dispersion.

Peak list (10 most intense, 2θ from 5° to 70°, by angle)
2θ 10.5, I 2, (0 1 1); 2θ 19.4, I 4, (0 1 3); 2θ 30.3, I 100, (1 2 3); 2θ 34.9, I 34, (2 0 0); 2θ 35.5, I 16, (0 4 0); 2θ 50.2, I 12, (2 0 6); 2θ 50.6, I 23, (2 4 0); 2θ 59.7, I 29, (3 2 3); 2θ 60.5, I 14, (1 6 3); 2θ 63.0, I 12, (2 4 6)

Cell and atoms:
a = 5.138 Å, b = 10.118 Å, c = 15.445 Å
α = 90.00°, β = 90.00°, γ = 90.00°
Space group Immm (No. 71)
One atom of each set of equivalent atoms:
La: 0.000 0.000 0.163 x4
Nd: 0.000 0.245 0.334 x8
Nd: 0.000 0.257 0.000 x4
Er: 0.000 0.500 0.170 x4
Er: 0.000 0.500 0.500 x2
Mg: 0.000 0.000 0.500 x2



Record 4
This entry pairs a crystal structure of La6Pm2Er3Mg with its computed XRD peak list. Radiation: Cu Ka. Structure: a cell relaxed with PBE.
Neutral-atom scattering factors, no anomalous dispersion.

Peak list (10 most intense, 2θ from 5° to 70°, by angle)
2θ 30.1, I 100, (1 3 1); 2θ 30.5, I 32, (0 0 4); 2θ 35.0, I 67, (2 0 2); 2θ 50.1, I 24, (0 6 0); 2θ 50.6, I 24, (1 3 5); 2θ 59.6, I 14, (4 0 0); 2θ 59.8, I 10, (0 6 4); 2θ 59.8, I 19, (3 3 3); 2θ 60.2, I 14, (2 0 6); 2θ 62.6, I 12, (2 6 2)

Cell and atoms:
a = 6.301 Å, b = 10.921 Å, c = 11.921 Å
α = 90.00°, β = 100.17°, γ = 90.00°
Space group C2/m (No. 12)
One atom of each set of equivalent atoms:
La: 0.247 0.000 0.247 x4
La: 0.249 0.165 0.752 x8
Pm: 0.000 0.333 0.500 x4
Er: 0.000 0.167 0.000 x4
Er: 0.000 0.500 0.000 x2
Mg: 0.000 0.000 0.500 x2



Record 5
This entry pairs a crystal structure of La6PrEr2Mg with its computed XRD peak list. Radiation: Cu Ka. Structure: a cell relaxed with PBE.
Neutral-atom scattering factors, no anomalous dispersion.

Peak list (10 most intense, 2θ from 5° to 70°, by angle)
2θ 26.4, I 27, (3 1 -1); 2θ 27.4, I 34, (1 3 -2); 2θ 29.4, I 100, (1 3 2); 2θ 29.9, I 53, (3 1 -2); 2θ 30.5, I 34, (2 2 2); 2θ 31.0, I 44, (2 4 0); 2θ 31.4, I 57, (0 2 3); 2θ 31.6, I 59, (2 4 -1); 2θ 33.4, I 17, (2 2 -3); 2θ 34.5, I 26, (1 5 -1)

Cell and atoms:
a = 10.644 Å, b = 13.835 Å, c = 9.514 Å
α = 90.00°, β = 99.79°, γ = 90.00°
Space group C2/c (No. 15)
One atom of each set of equivalent atoms:
La: 0.059 0.118 0.099 x8
La: 0.090 0.330 0.919 x8
La: 0.245 0.290 0.329 x8
Pr: 0.000 0.431 0.250 x4
Er: 0.233 0.467 0.596 x8
Mg: 0.000 0.097 0.750 x4



Record 6
This entry pairs a crystal structure of LaSm2ErMg with its computed XRD peak list. Radiation: Cu Ka. Structure: a cell relaxed with PBE.
Neutral-atom scattering factors, no anomalous dispersion.

Peak list (10 most intense, 2θ from 5° to 70°, by angle)
2θ 28.5, I 24, (1 0 2); 2θ 28.9, I 25, (1 0 -3); 2θ 31.5, I 68, (0 2 0); 2θ 32.6, I 100, (2 1 -1); 2θ 32.7, I 88, (1 1 2); 2θ 33.1, I 80, (1 1 -3); 2θ 43.0, I 25, (1 2 2); 2θ 56.8, I 39, (2 3 -1); 2θ 60.4, I 20, (3 2 1); 2θ 61.3, I 29, (0 2 5)

Cell and atoms:
a = 6.284 Å, b = 5.674 Å, c = 9.423 Å
α = 90.00°, β = 108.54°, γ = 90.00°
Space group P2_1/m (No. 11)
One atom of each set of equivalent atoms:
La: 0.037 0.250 0.387 x2
Sm: 0.375 0.750 0.392 x2
Sm: 0.453 0.250 0.196 x2
Er: 0.153 0.750 0.999 x2
Mg: 0.231 0.250 0.810 x2



Record 7
This entry pairs a crystal structure of LaErNbN3 with its computed XRD peak list. Radiation: Cu Ka. Structure: a cell relaxed with PBE.
Neutral-atom scattering factors, no anomalous dispersion.

Peak list (10 most intense, 2θ from 5° to 70°, by angle)
2θ 15.3, I 60, (1 0 -1); 2θ 16.9, I 48, (1 0 1); 2θ 28.1, I 48, (0 1 1); 2θ 28.8, I 48, (0 0 3); 2θ 30.9, I 59, (2 0 -2); 2θ 31.5, I 39, (1 1 1); 2θ 32.8, I 75, (0 1 2); 2θ 32.9, I 46, (1 0 3); 2θ 37.5, I 100, (2 1 0); 2θ 59.5, I 43, (3 1 3)

Cell and atoms:
a = 6.853 Å, b = 3.381 Å, c = 9.336 Å
α = 90.00°, β = 95.74°, γ = 90.00°
Space group P2_1/m (No. 11)
One atom of each set of equivalent atoms:
La: 0.185 0.250 0.229 x2
Er: 0.353 0.750 0.881 x2
Nb: 0.135 0.250 0.578 x2
N: 0.134 0.250 0.795 x2
N: 0.185 0.750 0.455 x2
N: 0.394 0.750 0.121 x2



Record 8
This entry pairs a crystal structure of LaErPaN3 with its computed XRD peak list. Radiation: Cu Ka. Structure: a cell relaxed with PBE.
Neutral-atom scattering factors, no anomalous dispersion.

Peak list (10 most intense, 2θ from 5° to 70°, by angle)
2θ 16.1, I 15, (1 0 -1); 2θ 29.6, I 41, (0 0 3); 2θ 29.7, I 36, (2 0 -1); 2θ 30.1, I 15, (2 0 0); 2θ 31.9, I 100, (1 1 1); 2θ 33.6, I 94, (1 1 -2); 2θ 39.6, I 25, (2 0 2); 2θ 51.3, I 17, (0 2 0); 2θ 53.2, I 14, (3 1 -2); 2θ 60.3, I 22, (0 2 3)

Cell and atoms:
a = 6.063 Å, b = 3.565 Å, c = 9.257 Å
α = 90.00°, β = 101.78°, γ = 90.00°
Space group P2_1/m (No. 11)
One atom of each set of equivalent atoms:
La: 0.157 0.250 0.199 x2
Er: 0.265 0.750 0.539 x2
Pa: 0.359 0.250 0.846 x2
N: 0.050 0.250 0.662 x2
N: 0.276 0.750 0.996 x2
N: 0.467 0.750 0.347 x2



Record 9
This entry pairs a crystal structure of La3Nd8Er2 with its computed XRD peak list. Radiation: Cu Ka. Structure: a cell relaxed with PBE.
Neutral-atom scattering factors, no anomalous dispersion.

Peak list (10 most intense, 2θ from 5° to 70°, by angle)
2θ 24.9, I 18, (2 0 1); 2θ 29.1, I 26, (2 2 1); 2θ 30.0, I 92, (0 4 0); 2θ 30.9, I 100, (4 2 -1); 2θ 32.1, I 28, (3 1 1); 2θ 32.4, I 30, (2 2 -2); 2θ 36.9, I 18, (1 3 -2); 2θ 38.7, I 19, (3 3 1); 2θ 39.3, I 10, (2 4 1); 2θ 53.8, I 20, (4 6 -1)

Cell and atoms:
a = 13.428 Å, b = 11.919 Å, c = 6.252 Å
α = 90.00°, β = 112.85°, γ = 90.00°
Space group C2/m (No. 12)
One atom of each set of equivalent atoms:
La: 0.000 0.000 0.000 x2
La: 0.000 0.238 0.500 x4
Nd: 0.058 0.500 0.290 x4
Nd: 0.159 0.000 0.546 x4
Nd: 0.176 0.256 0.177 x8
Er: 0.210 0.500 0.864 x4



Record 10
This entry pairs a crystal structure of LaNdEr3 with its computed XRD peak list. Radiation: Cu Ka. Structure: a cell relaxed with PBE.
Neutral-atom scattering factors, no anomalous dispersion.

Peak list (10 most intense, 2θ from 5° to 70°, by angle)
2θ 30.4, I 36, (0 1 -2); 2θ 31.2, I 38, (1 -2 0); 2θ 31.4, I 89, (2 1 0); 2θ 31.5, I 100, (1 2 2); 2θ 32.8, I 11, (0 2 -1); 2θ 44.2, I 12, (1 3 0); 2θ 44.4, I 15, (1 1 4); 2θ 45.5, I 14, (3 -1 0); 2θ 56.0, I 17, (3 3 2); 2θ 56.0, I 16, (0 3 4)

Cell and atoms:
a = 6.612 Å, b = 6.728 Å, c = 8.162 Å
α = 74.36°, β = 72.48°, γ = 84.73°
Space group P-1 (No. 2)
One atom of each set of equivalent atoms:
La: 0.098 0.294 0.142 x2
Nd: 0.115 0.248 0.667 x2
Er: 0.325 0.844 0.993 x2
Er: 0.337 0.914 0.404 x2
Er: 0.490 0.540 0.710 x2



Record 11
This entry pairs a crystal structure of La3Nd3Er with its computed XRD peak list. Radiation: Cu Ka. Structure: a cell relaxed with PBE.
Neutral-atom scattering factors, no anomalous dispersion.

Peak list (10 most intense, 2θ from 5° to 70°, by angle)
2θ 27.6, I 24, (1 2 0); 2θ 30.1, I 25, (0 0 2); 2θ 31.5, I 100, (1 2 1); 2θ 41.3, I 16, (1 2 2); 2θ 48.8, I 20, (4 1 0); 2θ 54.4, I 21, (1 2 3); 2θ 58.4, I 23, (4 1 2); 2θ 59.3, I 16, (2 4 1); 2θ 65.8, I 4, (2 4 2); 2θ 69.8, I 3, (1 2 4)

Cell and atoms:
a = 9.8704 Å, b = 9.8704 Å, c = 5.9318 Å
α = 90.00°, β = 90.00°, γ = 120.00°
Space group P6_3/m (No. 176)
One atom of each set of equivalent atoms:
La: 0.0474 0.8045 0.2500 x6
Nd: 0.0956 0.6151 0.7500 x6
Er: 0.3333 0.6667 0.2500 x2



Record 12
This entry pairs a crystal structure of La3NdEr7 with its computed XRD peak list. Radiation: Cu Ka. Structure: a cell relaxed with PBE.
Neutral-atom scattering factors, no anomalous dispersion.

Peak list (10 most intense, 2θ from 5° to 70°, by angle)
2θ 25.0, I 19, (3 1 0); 2θ 28.2, I 15, (1 3 -1); 2θ 30.5, I 40, (2 0 -2); 2θ 31.8, I 33, (4 0 0); 2θ 32.5, I 100, (3 3 -1); 2θ 39.8, I 11, (1 1 2); 2θ 44.6, I 26, (6 0 -2); 2θ 55.4, I 22, (5 3 -3); 2θ 62.0, I 10, (8 2 -1); 2θ 62.1, I 9, (3 7 -1)

Cell and atoms:
a = 12.707 Å, b = 11.255 Å, c = 5.865 Å
α = 90.00°, β = 117.41°, γ = 90.00°
Space group C2/m (No. 12)
One atom of each set of equivalent atoms:
La: 0.000 0.000 0.000 x2
La: 0.000 0.214 0.500 x4
Nd: 0.000 0.500 0.000 x2
Er: 0.000 0.500 0.500 x2
Er: 0.207 0.000 0.706 x4
Er: 0.210 0.195 0.210 x8



Record 13
This entry pairs a crystal structure of La3Nd3Er8 with its computed XRD peak list. Radiation: Cu Ka. Structure: a cell relaxed with PBE.
Neutral-atom scattering factors, no anomalous dispersion.

Peak list (10 most intense, 2θ from 5° to 70°, by angle)
2θ 29.3, I 30, (0 4 1); 2θ 30.3, I 33, (3 3 0); 2θ 31.4, I 52, (2 0 -2); 2θ 31.6, I 100, (4 2 -1); 2θ 33.2, I 59, (1 5 -1); 2θ 37.2, I 13, (3 5 -1); 2θ 44.2, I 23, (5 3 -2); 2θ 56.0, I 20, (6 2 -3); 2θ 57.1, I 13, (3 5 -3); 2θ 61.9, I 15, (7 5 -1)

Cell and atoms:
a = 12.223 Å, b = 15.331 Å, c = 5.696 Å
α = 90.00°, β = 117.72°, γ = 90.00°
Space group C2/m (No. 12)
One atom of each set of equivalent atoms:
La: 0.000 0.000 0.000 x2
La: 0.000 0.189 0.500 x4
Nd: 0.000 0.500 0.000 x2
Nd: 0.199 0.000 0.700 x4
Er: 0.159 0.398 0.659 x8
Er: 0.162 0.280 0.162 x8